(1)
Computed PXRD pattern of SiH2F4 for λ = 1.5418 Å (Cu Kα), from a structure optimized by DFT (PBE).
Intensities are scaled so that the largest is 100.

Crystal structure
Cell lengths 4.6089, 4.6089, 11.6244 Å; angles 90.00, 90.00, 90.00 degrees
Space group I-42m (No. 121)
Inequivalent atoms, fractional coordinates:
Si (0.0000, 0.0000, 0.0000) x2
H (0.0000, 0.5000, 0.2500) x4
F (0.1997, 0.1997, 0.0773) x8

Largest 10 diffraction maxima, low angle first, 10 to 90 degrees two-theta:
- hkl 0 0 2, 15.2°, intensity 100
- hkl 1 0 1, 20.7°, intensity 100
- hkl 1 1 0, 27.4°, intensity 10
- hkl 1 0 3, 30.1°, intensity 14
- hkl 1 1 2, 31.5°, intensity 60
- hkl 1 1 4, 41.6°, intensity 26
- hkl 2 1 3, 50.1°, intensity 15
- hkl 2 0 4, 50.5°, intensity 8
- hkl 2 1 5, 60.0°, intensity 8
- hkl 2 0 6, 62.6°, intensity 10

(2)
Computed PXRD pattern of SnH2F2 for λ = 1.5418 Å (Cu Kα), from a structure optimized by DFT (PBE).
Intensities are scaled so that the largest is 100.

Crystal structure
Cell lengths 5.3289, 5.3315, 6.1633 Å; angles 90.05, 106.01, 90.00 degrees
Space group P1 (No. 1)
Inequivalent atoms, fractional coordinates:
Sn (0.0000, 0.0000, 0.0000) x1
Sn (0.3863, 0.4997, 0.6807) x1
H (0.5906, 0.1490, 0.3037) x1
H (0.6197, 0.0638, 0.4047) x1
H (0.7669, 0.5639, 0.2759) x1
H (0.7960, 0.6491, 0.3772) x1
F (0.1209, 0.1765, 0.7394) x1
F (0.2654, 0.6767, 0.9412) x1
F (0.6737, 0.3061, 0.9269) x1
F (0.7127, 0.8060, 0.7537) x1

Largest 10 diffraction maxima, low angle first, 10 to 90 degrees two-theta:
- hkl 0 0 1, 15.0°, intensity 100
- hkl 1 0 -1, 19.5°, intensity 25
- hkl 0 1 1, 22.4°, intensity 71
- hkl 1 1 0, 24.1°, intensity 97
- hkl 1 1 -1, 25.8°, intensity 63
- hkl 1 0 1, 25.9°, intensity 37
- hkl 1 0 -2, 30.4°, intensity 27
- hkl 0 1 -2, 34.6°, intensity 26
- hkl 1 2 1, 42.9°, intensity 26
- hkl 0 0 3, 46.0°, intensity 31

(3)
Computed PXRD pattern of SnH3F9 for λ = 1.5418 Å (Cu Kα), from a structure optimized by DFT (PBE).
Intensities are scaled so that the largest is 100.

Crystal structure
Cell lengths 13.3794, 7.6093, 8.0056 Å; angles 90.00, 122.69, 90.00 degrees
Space group Cc (No. 9)
Inequivalent atoms, fractional coordinates:
Sn (0.0000, 0.2286, 0.0000) x4
H (0.0143, 0.4590, 0.7061) x4
H (0.0548, 0.1030, 0.3884) x4
H (0.2647, 0.3268, 0.1365) x4
F (0.0203, 0.0376, 0.4886) x4
F (0.0619, 0.4791, 0.1487) x4
F (0.0905, 0.1606, 0.3069) x4
F (0.1586, 0.2294, 0.0330) x4
F (0.2712, 0.2699, 0.7729) x4
F (0.2810, 0.0905, 0.8330) x4
F (0.3401, 0.3969, 0.2059) x4
F (0.3641, 0.2318, 0.5176) x4
F (0.4554, 0.1114, 0.2655) x4

Largest 10 diffraction maxima, low angle first, 10 to 90 degrees two-theta:
- hkl 2 0 0, 15.7°, intensity 48
- hkl 1 1 -1, 16.1°, intensity 100
- hkl 1 1 1, 22.0°, intensity 53
- hkl 2 0 -2, 22.3°, intensity 28
- hkl 3 1 -1, 23.1°, intensity 53
- hkl 0 2 0, 23.4°, intensity 20
- hkl 0 2 2, 35.6°, intensity 14
- hkl 1 1 -3, 38.3°, intensity 19
- hkl 1 3 1, 40.3°, intensity 26
- hkl 6 0 -2, 40.5°, intensity 15

(4)
Computed PXRD pattern of SrH2F4 for λ = 1.5418 Å (Cu Kα), from a structure optimized by DFT (PBE).
Intensities are scaled so that the largest is 100.

Crystal structure
Cell lengths 11.1994, 4.9310, 8.4434 Å; angles 90.00, 131.43, 90.00 degrees
Space group C2/c (No. 15)
Inequivalent atoms, fractional coordinates:
Sr (0.0000, 0.1250, 0.2500) x4
H (0.0000, 0.5000, 0.0000) x4
H (0.2500, 0.2500, 0.0000) x4
F (0.0082, 0.2719, 0.5339) x8
F (0.2246, 0.4781, 0.9661) x8

Largest 10 diffraction maxima, low angle first, 10 to 90 degrees two-theta:
- hkl 1 1 0, 20.9°, intensity 58
- hkl 2 0 0, 21.2°, intensity 100
- hkl 1 1 1, 29.0°, intensity 39
- hkl 3 1 -2, 30.9°, intensity 43
- hkl 3 1 -3, 37.0°, intensity 32
- hkl 0 2 1, 39.2°, intensity 21
- hkl 1 1 -3, 40.9°, intensity 35
- hkl 4 0 0, 43.1°, intensity 47
- hkl 5 1 -3, 45.0°, intensity 22
- hkl 2 2 1, 49.6°, intensity 27

(5)
Computed PXRD pattern of SrHF4 for λ = 1.5418 Å (Cu Kα), from a structure optimized by DFT (PBE).
Intensities are scaled so that the largest is 100.

Crystal structure
Cell lengths 3.9714, 7.9762, 5.7013 Å; angles 90.00, 90.96, 90.00 degrees
Space group P2_1/m (No. 11)
Inequivalent atoms, fractional coordinates:
Sr (0.2054, 0.2500, 0.0649) x2
H (0.1382, 0.7500, 0.4936) x2
F (0.0529, 0.2500, 0.6530) x2
F (0.2872, 0.7500, 0.6724) x2
F (0.3294, 0.5608, 0.1023) x4

Largest 10 diffraction maxima, low angle first, 10 to 90 degrees two-theta:
- hkl 0 0 1, 15.5°, intensity 100
- hkl 0 2 0, 22.3°, intensity 56
- hkl 1 1 0, 25.1°, intensity 25
- hkl 1 1 -1, 29.4°, intensity 33
- hkl 1 1 1, 29.8°, intensity 23
- hkl 1 0 -2, 38.6°, intensity 19
- hkl 1 1 2, 40.9°, intensity 46
- hkl 1 3 -1, 43.8°, intensity 28
- hkl 0 4 0, 45.5°, intensity 15
- hkl 0 3 2, 46.7°, intensity 14

(6)
Computed PXRD pattern of SrHF14 for λ = 1.5418 Å (Cu Kα), from a structure optimized by DFT (PBE).
Intensities are scaled so that the largest is 100.

Crystal structure
Cell lengths 3.5727, 10.8545, 5.7669 Å; angles 90.00, 92.75, 90.00 degrees
Space group Pm (No. 6)
Inequivalent atoms, fractional coordinates:
Sr (0.0000, 0.0000, 0.0000) x1
H (0.4931, 0.0000, 0.5042) x1
F (0.1642, 0.2894, 0.4980) x2
F (0.2779, 0.2170, 0.9984) x2
F (0.3387, 0.5000, 0.7388) x1
F (0.3677, 0.5000, 0.2034) x1
F (0.4731, 0.0000, 0.6961) x1
F (0.5242, 0.0000, 0.2987) x1
F (0.7665, 0.2191, 0.9498) x2
F (0.8371, 0.5000, 0.7403) x1
F (0.8664, 0.5000, 0.2025) x1
F (0.9302, 0.1849, 0.4497) x2

Largest 10 diffraction maxima, low angle first, 10 to 90 degrees two-theta:
- hkl 0 0 1, 15.4°, intensity 54
- hkl 0 2 0, 16.3°, intensity 37
- hkl 0 1 1, 17.4°, intensity 66
- hkl 0 2 1, 22.5°, intensity 33
- hkl 0 1 2, 32.2°, intensity 63
- hkl 0 4 0, 33.0°, intensity 100
- hkl 1 2 -1, 33.3°, intensity 44
- hkl 1 2 1, 34.4°, intensity 57
- hkl 0 2 2, 35.3°, intensity 52
- hkl 1 0 -2, 39.2°, intensity 60

(7)
Computed PXRD pattern of TaHF2 for λ = 1.5418 Å (Cu Kα), from a structure optimized by DFT (PBE).
Intensities are scaled so that the largest is 100.

Crystal structure
Cell lengths 2.8340, 2.8340, 19.1956 Å; angles 90.00, 90.00, 120.00 degrees
Space group R-3m (No. 166, hexagonal axes)
Inequivalent atoms, fractional coordinates:
Ta (0.0000, 0.0000, 0.0000) x3
H (0.0000, 0.0000, 0.5000) x3
F (0.0000, 0.0000, 0.4400) x6

Largest 10 diffraction maxima, low angle first, 10 to 90 degrees two-theta:
- hkl 0 0 3, 13.8°, intensity 100
- hkl 0 0 6, 27.9°, intensity 19
- hkl 1 0 1, 36.9°, intensity 22
- hkl 0 1 2, 37.8°, intensity 46
- hkl 1 0 4, 41.3°, intensity 27
- hkl 0 0 9, 42.4°, intensity 12
- hkl 0 1 5, 43.8°, intensity 25
- hkl 1 0 7, 49.9°, intensity 21
- hkl 1 1 3, 67.7°, intensity 11
- hkl 1 1 9, 81.6°, intensity 10

(8)
Computed PXRD pattern of TcHF2 for λ = 1.5418 Å (Cu Kα), from a structure optimized by DFT (PBE).
Intensities are scaled so that the largest is 100.

Crystal structure
Cell lengths 2.6604, 2.6604, 18.9368 Å; angles 90.00, 90.00, 120.00 degrees
Space group R-3m (No. 166, hexagonal axes)
Inequivalent atoms, fractional coordinates:
Tc (0.0000, 0.0000, 0.0000) x3
H (0.0000, 0.0000, 0.5000) x3
F (0.0000, 0.0000, 0.4393) x6

Largest 10 diffraction maxima, low angle first, 10 to 90 degrees two-theta:
- hkl 0 0 3, 14.0°, intensity 100
- hkl 0 0 6, 28.3°, intensity 16
- hkl 1 0 1, 39.4°, intensity 14
- hkl 0 1 2, 40.3°, intensity 54
- hkl 0 0 9, 43.0°, intensity 16
- hkl 1 0 4, 43.7°, intensity 27
- hkl 0 1 5, 46.1°, intensity 27
- hkl 1 0 7, 52.1°, intensity 26
- hkl 1 1 0, 70.8°, intensity 10
- hkl 1 1 9, 86.6°, intensity 11

(9)
Computed PXRD pattern of TlH4F for λ = 1.5418 Å (Cu Kα), from a structure optimized by DFT (PBE).
Intensities are scaled so that the largest is 100.

Crystal structure
Cell lengths 3.8217, 3.8989, 13.2960 Å; angles 83.19, 88.88, 89.92 degrees
Space group P-1 (No. 2)
Inequivalent atoms, fractional coordinates:
Tl (0.2059, 0.1183, 0.2471) x2
H (0.2422, 0.2402, 0.9767) x2
H (0.2440, 0.1830, 0.5251) x2
H (0.2607, 0.2910, 0.9203) x2
H (0.2618, 0.2765, 0.5711) x2
F (0.3020, 0.4385, 0.7404) x2

Largest 10 diffraction maxima, low angle first, 10 to 90 degrees two-theta:
- hkl 0 0 2, 13.4°, intensity 100
- hkl 0 1 0, 23.0°, intensity 10
- hkl 0 1 1, 23.2°, intensity 9
- hkl 1 0 1, 24.1°, intensity 16
- hkl 1 0 -1, 24.4°, intensity 16
- hkl 0 0 4, 27.0°, intensity 21
- hkl 1 0 3, 30.7°, intensity 9
- hkl 1 0 -3, 31.3°, intensity 10
- hkl 1 1 1, 33.0°, intensity 22
- hkl 1 1 -1, 34.3°, intensity 9

(10)
Computed PXRD pattern of Tl3H8F2 for λ = 1.5418 Å (Cu Kα), from a structure optimized by DFT (PBE).
Intensities are scaled so that the largest is 100.

Crystal structure
Cell lengths 5.0459, 7.8988, 7.9008 Å; angles 61.96, 75.77, 75.96 degrees
Space group P-1 (No. 2)
Inequivalent atoms, fractional coordinates:
Tl (0.0000, 0.0000, 0.0000) x1
Tl (0.4985, 0.7426, 0.2575) x2
H (0.0416, 0.2610, 0.2606) x2
H (0.0925, 0.6961, 0.6972) x2
H (0.4844, 0.0283, 0.4487) x2
H (0.4844, 0.4486, 0.0284) x2
F (0.4195, 0.1067, 0.1068) x2

Largest 10 diffraction maxima, low angle first, 10 to 90 degrees two-theta:
- hkl 0 1 0, 12.8°, intensity 30
- hkl 0 1 1, 13.6°, intensity 100
- hkl 1 2 1, 25.8°, intensity 11
- hkl 0 2 2, 27.5°, intensity 18
- hkl 1 -1 1, 28.7°, intensity 33
- hkl 1 0 2, 29.5°, intensity 29
- hkl 1 -2 0, 34.2°, intensity 23
- hkl 2 1 1, 35.7°, intensity 11
- hkl 1 1 3, 36.1°, intensity 22
- hkl -1 3 1, 43.8°, intensity 13

(11)
Computed PXRD pattern of Tl2H2F5 for λ = 1.5418 Å (Cu Kα), from a structure optimized by DFT (PBE).
Intensities are scaled so that the largest is 100.

Crystal structure
Cell lengths 6.2893, 6.8974, 7.5473 Å; angles 82.34, 68.86, 86.80 degrees
Space group P1 (No. 1)
Inequivalent atoms, fractional coordinates:
Tl (0.0000, 0.0000, 0.0000) x1
Tl (0.2426, 0.1442, 0.4352) x1
Tl (0.4960, 0.4483, 0.8743) x1
Tl (0.7458, 0.6965, 0.5611) x1
H (0.1195, 0.5713, 0.2176) x1
H (0.1211, 0.5719, 0.7173) x1
H (0.6198, 0.5732, 0.2182) x1
H (0.6215, 0.0724, 0.7177) x1
F (0.0256, 0.4933, 0.3684) x1
F (0.0277, 0.7196, 0.7084) x1
F (0.2134, 0.6495, 0.0668) x1
F (0.2146, 0.4244, 0.7263) x1
F (0.3077, 0.2099, 0.0627) x1
F (0.5007, 0.9661, 0.6957) x1
F (0.6126, 0.7025, 0.3031) x1
F (0.6272, 0.4441, 0.1335) x1
F (0.7420, 0.1785, 0.7397) x1
F (0.9354, 0.9340, 0.3723) x1

Largest 10 diffraction maxima, low angle first, 10 to 90 degrees two-theta:
- hkl 1 1 1, 19.5°, intensity 76
- hkl 1 -1 0, 20.0°, intensity 100
- hkl 1 0 2, 24.6°, intensity 26
- hkl 1 1 -1, 27.2°, intensity 77
- hkl 0 2 1, 27.6°, intensity 23
- hkl 2 0 1, 28.5°, intensity 31
- hkl 1 -1 2, 29.4°, intensity 20
- hkl 0 2 -1, 30.5°, intensity 27
- hkl 2 1 3, 40.5°, intensity 20
- hkl 0 1 -3, 42.5°, intensity 23

(12)
Computed PXRD pattern of TmH2F6 for λ = 1.5418 Å (Cu Kα), from a structure optimized by DFT (PBE).
Intensities are scaled so that the largest is 100.

Crystal structure
Cell lengths 6.7781, 3.9310, 8.0972 Å; angles 90.00, 94.76, 90.00 degrees
Space group C2/m (No. 12)
Inequivalent atoms, fractional coordinates:
Tm (0.0000, 0.0000, 0.0000) x2
H (0.1403, 0.0000, 0.3778) x4
F (0.0356, 0.0000, 0.2649) x4
F (0.1611, 0.5000, 0.9461) x4
F (0.2468, 0.5000, 0.5015) x4

Largest 10 diffraction maxima, low angle first, 10 to 90 degrees two-theta:
- hkl 0 0 1, 11.0°, intensity 100
- hkl 0 0 2, 22.0°, intensity 34
- hkl 1 1 0, 26.2°, intensity 39
- hkl 2 0 -1, 27.8°, intensity 18
- hkl 1 1 -1, 28.1°, intensity 25
- hkl 1 1 1, 28.9°, intensity 12
- hkl 2 0 1, 29.5°, intensity 13
- hkl 1 1 -3, 42.0°, intensity 12
- hkl 3 1 0, 46.5°, intensity 13
- hkl 1 1 -4, 51.7°, intensity 15

(13)
Computed PXRD pattern of UH2F6 for λ = 1.5418 Å (Cu Kα), from a structure optimized by DFT (PBE).
Intensities are scaled so that the largest is 100.

Crystal structure
Cell lengths 10.8856, 7.5606, 5.7592 Å; angles 90.00, 112.54, 90.00 degrees
Space group C2/c (No. 15)
Inequivalent atoms, fractional coordinates:
U (0.0000, 0.1717, 0.2500) x4
H (0.1247, 0.4404, 0.9943) x8
F (0.1123, 0.3044, 0.0075) x8
F (0.1176, 0.0373, 0.6313) x8
F (0.1307, 0.3898, 0.4702) x8

Largest 10 diffraction maxima, low angle first, 10 to 90 degrees two-theta:
- hkl 1 1 0, 14.7°, intensity 51
- hkl 2 0 0, 17.6°, intensity 90
- hkl 1 1 -1, 19.5°, intensity 100
- hkl 1 1 1, 24.7°, intensity 61
- hkl 3 1 -1, 28.1°, intensity 38
- hkl 0 2 1, 29.0°, intensity 28
- hkl 2 2 -1, 30.5°, intensity 32
- hkl 4 0 -2, 38.7°, intensity 41
- hkl 3 3 0, 45.0°, intensity 23
- hkl 3 3 -2, 50.1°, intensity 21